# Na3ScCl6
Theoretical powder diffractogram, Cu Kα X-rays. Input: DFT lattice parameters and positions (GGA-PBE).
Intensities are scaled so that the largest is 100.

Main lines, in order of falling intensity (10 to 90 degrees two-theta):
2.580 Å, 34.77°, rel. 100, hkl 4 0 0; 2.979 Å, 30.00°, rel. 71, hkl 2 2 2; 1.824 Å, 50.00°, rel. 62, hkl 4 4 0; 5.160 Å, 17.19°, rel. 54, hkl 2 0 0; 1.154 Å, 83.86°, rel. 23, hkl 8 4 0; 1.556 Å, 59.41°, rel. 22, hkl 6 2 2; 2.307 Å, 39.04°, rel. 21, hkl 4 2 0; 1.489 Å, 62.34°, rel. 19, hkl 4 4 4; 5.958 Å, 14.87°, rel. 13, hkl 1 1 1; 3.648 Å, 24.40°, rel. 10, hkl 2 2 0

Structure:
```
data_Na3ScCl6
_space_group_name_H-M_alt 'F m -3 m'
_space_group_IT_number 225
_space_group_name_Hall '-F 4 2 3'
_cell_length_a 10.3194
_cell_length_b 10.3194
_cell_length_c 10.3194
_cell_angle_alpha 90.00
_cell_angle_beta 90.00
_cell_angle_gamma 90.00
loop_
_atom_site_label
_atom_site_fract_x
_atom_site_fract_y
_atom_site_fract_z
_atom_site_occupancy
Na1 0.0000 0.0000 0.0000 1
Na2 0.2500 0.2500 0.2500 1
Sc1 0.0000 0.0000 0.5000 1
Cl1 0.0000 0.0000 0.2598 1
```